Record 1
This entry pairs a crystal structure of BaCdIn4 with its computed X-ray powder pattern. Radiation: CuKα. Structure: the GGA-PBE geometry in Alexandria.

Crystal structure
a = 5.6361 Å, b = 17.5027 Å, c = 7.6867 Å
α = 90.00°, β = 90.00°, γ = 90.00°
Space group Cmcm (No. 63)
Inequivalent atoms, fractional coordinates:
Ba 0.0000 0.1090 0.2500 (multiplicity 4)
Cd 0.0000 0.3555 0.2500 (multiplicity 4)
In 0.0000 0.0906 0.7500 (multiplicity 4)
In 0.0000 0.2644 0.5653 (multiplicity 8)
In 0.0000 0.5000 0.0000 (multiplicity 4)

Main lines, by angle (2θ = 10–90°):
index	2θ (°)	I_rel
1 3 1	24.83	21
1 1 2	28.57	53
1 5 0	30.05	65
0 4 2	30.97	100
2 0 0	31.75	75
1 5 1	32.28	40
1 1 3	38.95	37
2 4 2	44.95	70
1 9 2	55.40	23
4 4 2	75.00	15



Record 2
This entry pairs a crystal structure of Be2H5Os with its computed X-ray powder pattern. Radiation: CuKα. Structure: the GGA-PBE geometry in Alexandria.

Crystal structure
a = 6.4950 Å, b = 5.8271 Å, c = 3.6620 Å
α = 90.00°, β = 124.07°, γ = 90.00°
Space group Cm (No. 8)
Inequivalent atoms, fractional coordinates:
Be 0.0000 0.2036 0.0000 (multiplicity 4)
H 0.1208 0.0000 0.6320 (multiplicity 2)
H 0.2569 0.5000 0.7579 (multiplicity 2)
H 0.3249 0.2081 0.3254 (multiplicity 4)
H 0.4873 0.0000 0.9843 (multiplicity 2)
Os 0.3109 0.5000 0.3115 (multiplicity 2)

Main lines, by angle (2θ = 10–90°):
index	2θ (°)	I_rel
1 1 0	22.49	100
1 1 -1	28.79	52
0 0 1	29.44	24
2 0 -1	29.57	24
0 2 0	30.69	21
2 0 0	33.31	17
0 2 1	43.09	37
1 1 1	44.51	17
3 1 -1	44.68	16
1 3 -1	53.42	21



Record 3
This entry pairs a crystal structure of CsN3F9 with its computed X-ray powder pattern. Radiation: CuKα. Structure: the GGA-PBE geometry in Alexandria.

Crystal structure
a = 8.2963 Å, b = 16.5703 Å, c = 7.7336 Å
α = 90.00°, β = 96.47°, γ = 90.00°
Space group C2 (No. 5)
Inequivalent atoms, fractional coordinates:
Cs 0.1618 0.0000 0.2334 (multiplicity 4)
N 0.1366 0.7391 0.8270 (multiplicity 4)
N 0.1559 0.1529 0.6988 (multiplicity 4)
N 0.1967 0.4251 0.3074 (multiplicity 4)
F 0.0000 0.1406 0.5000 (multiplicity 2)
F 0.0000 0.7421 0.0000 (multiplicity 2)
F 0.0572 0.7920 0.7098 (multiplicity 4)
F 0.0588 0.1865 0.8124 (multiplicity 4)
F 0.0954 0.6649 0.7547 (multiplicity 4)
F 0.0959 0.4912 0.3381 (multiplicity 4)
F 0.1104 0.3894 0.1617 (multiplicity 4)
F 0.1567 0.0150 0.8912 (multiplicity 4)
F 0.1573 0.3698 0.4441 (multiplicity 4)
F 0.2394 0.2195 0.6461 (multiplicity 4)

Main lines, by angle (2θ = 10–90°):
index	2θ (°)	I_rel
0 2 0	10.68	72
1 1 0	11.99	41
1 1 -1	15.78	48
0 4 0	21.45	51
1 3 -1	21.93	87
0 0 2	23.16	89
2 2 -1	25.70	69
2 2 1	27.86	100
0 4 2	31.77	37
2 2 3	45.10	40



Number 2 is which compound?
Be2H5Os



What did the first record say?
This entry pairs a crystal structure of BaCdIn4 with its computed X-ray powder pattern. Radiation: CuKα. Structure: the GGA-PBE geometry in Alexandria.

Crystal structure
a = 5.6361 Å, b = 17.5027 Å, c = 7.6867 Å
α = 90.00°, β = 90.00°, γ = 90.00°
Space group Cmcm (No. 63)
Inequivalent atoms, fractional coordinates:
Ba 0.0000 0.1090 0.2500 (multiplicity 4)
Cd 0.0000 0.3555 0.2500 (multiplicity 4)
In 0.0000 0.0906 0.7500 (multiplicity 4)
In 0.0000 0.2644 0.5653 (multiplicity 8)
In 0.0000 0.5000 0.0000 (multiplicity 4)

Main lines, by angle (2θ = 10–90°):
index	2θ (°)	I_rel
1 3 1	24.83	21
1 1 2	28.57	53
1 5 0	30.05	65
0 4 2	30.97	100
2 0 0	31.75	75
1 5 1	32.28	40
1 1 3	38.95	37
2 4 2	44.95	70
1 9 2	55.40	23
4 4 2	75.00	15